Entry 1:
For AcTlBrO, a cell relaxed with PBE gives the simulated powder XRD pattern in this record (Cu Kα (weighted mean of Kα1 and Kα2)).
No peak broadening, texture or thermal motion is included.

Largest 10 diffraction maxima, low angle first, 10 to 80 degrees two-theta:
12.12°, d 7.301, I 84; 18.23°, d 4.867, I 37; 24.10°, d 3.693, I 23; 27.75°, d 3.215, I 56; 30.15°, d 2.964, I 100; 32.23°, d 2.778, I 36; 38.64°, d 2.330, I 34; 42.22°, d 2.141, I 35; 47.96°, d 1.897, I 30; 51.28°, d 1.782, I 21

Structural model:
a b c (Å): 4.281 4.281 14.602
angles (deg): 90.00 90.00 90.00
Fractional positions:
Ac  0.250  0.250  0.086
Ac  0.750  0.750  0.914
Tl  0.250  0.750  0.500
Tl  0.750  0.250  0.500
Br  0.250  0.250  0.802
Br  0.750  0.750  0.198
O  0.250  0.750  0.000
O  0.750  0.250  0.000

***

Entry 2:
For AcUBrO4, a cell relaxed with PBE gives the simulated powder XRD pattern in this record (Cu Kα (weighted mean of Kα1 and Kα2)).
No peak broadening, texture or thermal motion is included.

Largest 10 diffraction maxima, low angle first, 10 to 80 degrees two-theta:
19.45°, d 4.564, I 27; 20.72°, d 4.286, I 65; 23.70°, d 3.754, I 100; 28.25°, d 3.159, I 94; 29.00°, d 3.079, I 41; 30.01°, d 2.978, I 49; 31.69°, d 2.824, I 34; 40.73°, d 2.215, I 29; 42.22°, d 2.140, I 27; 44.59°, d 2.032, I 31

Structural model:
a b c (Å): 6.918 6.918 6.922
angles (deg): 93.54 93.54 65.72
Fractional positions:
Ac  0.218  0.218  0.099
Ac  0.782  0.782  0.901
U  0.378  0.378  0.640
U  0.622  0.622  0.360
Br  0.032  0.032  0.750
Br  0.968  0.968  0.250
O  0.147  0.499  0.840
O  0.240  0.240  0.475
O  0.450  0.450  0.320
O  0.499  0.147  0.840
O  0.501  0.853  0.160
O  0.550  0.550  0.680
O  0.760  0.760  0.525
O  0.853  0.501  0.160

***

Entry 3:
For Ac9Os2Br14, a cell relaxed with PBE gives the simulated powder XRD pattern in this record (Cu Kα (weighted mean of Kα1 and Kα2)).
No peak broadening, texture or thermal motion is included.

Largest 10 diffraction maxima, low angle first, 10 to 80 degrees two-theta:
13.19°, d 6.713, I 85; 20.61°, d 4.309, I 100; 21.25°, d 4.181, I 53; 26.56°, d 3.356, I 35; 30.62°, d 2.920, I 86; 33.84°, d 2.649, I 59; 34.64°, d 2.589, I 83; 36.85°, d 2.439, I 31; 41.62°, d 2.170, I 56; 42.62°, d 2.121, I 29

Structural model:
a b c (Å): 9.176 9.176 12.544
angles (deg): 90.00 90.00 120.00
Fractional positions:
Ac  0.000  0.000  0.000
Ac  0.095  0.362  0.352
Ac  0.267  0.905  0.352
Ac  0.333  0.667  0.056
Ac  0.362  0.267  0.648
Ac  0.638  0.733  0.352
Ac  0.667  0.333  0.944
Ac  0.733  0.095  0.648
Ac  0.905  0.638  0.648
Os  0.333  0.667  0.273
Os  0.667  0.333  0.727
Br  0.000  0.000  0.248
Br  0.000  0.000  0.752
Br  0.043  0.690  0.910
Br  0.099  0.421  0.605
Br  0.310  0.354  0.910
Br  0.322  0.901  0.605
Br  0.354  0.043  0.090
Br  0.421  0.322  0.395
Br  0.579  0.678  0.605
Br  0.646  0.957  0.910
Br  0.678  0.099  0.395
Br  0.690  0.646  0.090
Br  0.901  0.579  0.395
Br  0.957  0.310  0.090

***

Entry 4:
For Ac8Os3RhBr4, a cell relaxed with PBE gives the simulated powder XRD pattern in this record (Cu Kα (weighted mean of Kα1 and Kα2)).
No peak broadening, texture or thermal motion is included.

Largest 10 diffraction maxima, low angle first, 10 to 80 degrees two-theta:
10.78°, d 8.209, I 38; 24.73°, d 3.601, I 10; 27.77°, d 3.212, I 100; 34.90°, d 2.571, I 22; 37.75°, d 2.383, I 28; 41.54°, d 2.174, I 40; 47.24°, d 1.924, I 16; 50.71°, d 1.800, I 19; 67.56°, d 1.387, I 17; 72.09°, d 1.310, I 9

Structural model:
a b c (Å): 9.622 9.622 9.622
angles (deg): 53.72 53.72 53.72
Fractional positions:
Ac  0.227  0.734  0.734
Ac  0.232  0.232  0.232
Ac  0.266  0.266  0.773
Ac  0.266  0.773  0.266
Ac  0.734  0.227  0.734
Ac  0.734  0.734  0.227
Ac  0.768  0.768  0.768
Ac  0.773  0.266  0.266
Os  0.000  0.000  0.500
Os  0.000  0.500  0.000
Os  0.500  0.000  0.000
Rh  0.500  0.500  0.500
Br  0.000  0.000  0.000
Br  0.000  0.500  0.500
Br  0.500  0.000  0.500
Br  0.500  0.500  0.000

***

Entry 5:
For AcPbBr5, a cell relaxed with PBE gives the simulated powder XRD pattern in this record (Cu Kα (weighted mean of Kα1 and Kα2)).
No peak broadening, texture or thermal motion is included.

Largest 10 diffraction maxima, low angle first, 10 to 80 degrees two-theta:
11.97°, d 7.392, I 100; 21.73°, d 4.090, I 16; 23.03°, d 3.862, I 35; 24.88°, d 3.578, I 22; 25.54°, d 3.487, I 19; 28.73°, d 3.107, I 75; 31.07°, d 2.878, I 21; 37.82°, d 2.379, I 19; 38.90°, d 2.315, I 35; 39.27°, d 2.294, I 25

Structural model:
a b c (Å): 8.465 4.587 14.297
angles (deg): 90.00 91.98 90.00
Fractional positions:
Ac  0.084  0.250  0.153
Ac  0.916  0.750  0.847
Pb  0.414  0.750  0.367
Pb  0.586  0.250  0.633
Br  0.124  0.250  0.786
Br  0.153  0.250  0.370
Br  0.185  0.750  0.015
Br  0.359  0.750  0.571
Br  0.436  0.250  0.187
Br  0.564  0.750  0.813
Br  0.641  0.250  0.429
Br  0.815  0.250  0.985
Br  0.847  0.750  0.630
Br  0.876  0.750  0.214

***

Entry 6:
For AcPdBr, a cell relaxed with PBE gives the simulated powder XRD pattern in this record (Cu Kα (weighted mean of Kα1 and Kα2)).
No peak broadening, texture or thermal motion is included.

Largest 10 diffraction maxima, low angle first, 10 to 80 degrees two-theta:
22.54°, d 3.945, I 38; 27.13°, d 3.287, I 30; 27.62°, d 3.230, I 78; 32.22°, d 2.778, I 44; 32.42°, d 2.761, I 49; 32.85°, d 2.726, I 74; 33.08°, d 2.708, I 24; 39.57°, d 2.277, I 100; 45.54°, d 1.992, I 19; 51.90°, d 1.762, I 23

Structural model:
a b c (Å): 4.555 4.555 11.456
angles (deg): 91.27 91.27 60.04
Fractional positions:
Ac  0.007  0.007  0.175
Ac  0.993  0.993  0.825
Pd  0.334  0.334  0.028
Pd  0.666  0.666  0.972
Br  0.321  0.321  0.658
Br  0.679  0.679  0.342

***

Entry 7:
For Ac4Pd3Br, a cell relaxed with PBE gives the simulated powder XRD pattern in this record (Cu Kα (weighted mean of Kα1 and Kα2)).
No peak broadening, texture or thermal motion is included.

Largest 10 diffraction maxima, low angle first, 10 to 80 degrees two-theta:
23.77°, d 3.743, I 12; 24.71°, d 3.604, I 12; 28.06°, d 3.179, I 100; 38.85°, d 2.318, I 12; 40.13°, d 2.247, I 51; 41.24°, d 2.189, I 12; 48.65°, d 1.872, I 13; 50.66°, d 1.802, I 14; 65.63°, d 1.423, I 12; 65.77°, d 1.420, I 12

Structural model:
a b c (Å): 4.378 6.346 9.271
angles (deg): 90.00 90.00 90.00
Fractional positions:
Ac  0.000  0.000  0.000
Ac  0.000  0.000  0.500
Ac  0.500  0.500  0.222
Ac  0.500  0.500  0.778
Pd  0.000  0.500  0.000
Pd  0.500  0.000  0.257
Pd  0.500  0.000  0.743
Br  0.000  0.500  0.500

***

Entry 8:
For AcPmRuBr, a cell relaxed with PBE gives the simulated powder XRD pattern in this record (Cu Kα (weighted mean of Kα1 and Kα2)).
No peak broadening, texture or thermal motion is included.

Largest 10 diffraction maxima, low angle first, 10 to 80 degrees two-theta:
10.88°, d 8.131, I 32; 24.96°, d 3.568, I 22; 25.76°, d 3.458, I 15; 28.76°, d 3.104, I 29; 30.83°, d 2.900, I 100; 43.46°, d 2.082, I 42; 44.87°, d 2.020, I 35; 54.23°, d 1.691, I 20; 55.66°, d 1.651, I 13; 71.92°, d 1.313, I 18

Structural model:
a b c (Å): 8.479 8.479 8.479
angles (deg): 28.43 28.43 28.43
Fractional positions:
Ac  0.000  0.000  0.000
Pm  0.204  0.204  0.204
Ru  0.599  0.599  0.599
Br  0.776  0.776  0.776

***

Entry 9:
For Ac6Pt3Br2, a cell relaxed with PBE gives the simulated powder XRD pattern in this record (Cu Kα (weighted mean of Kα1 and Kα2)).
No peak broadening, texture or thermal motion is included.

Largest 10 diffraction maxima, low angle first, 10 to 80 degrees two-theta:
11.29°, d 7.839, I 58; 24.17°, d 3.683, I 16; 27.52°, d 3.241, I 100; 27.63°, d 3.229, I 50; 35.30°, d 2.543, I 20; 38.31°, d 2.350, I 16; 38.49°, d 2.339, I 31; 40.28°, d 2.239, I 60; 49.55°, d 1.840, I 21; 65.61°, d 1.423, I 17

Structural model:
a b c (Å): 7.755 7.755 8.240
angles (deg): 98.86 98.86 119.98
Fractional positions:
Ac  0.099  0.426  0.795
Ac  0.227  0.227  0.205
Ac  0.426  0.099  0.795
Ac  0.574  0.901  0.205
Ac  0.773  0.773  0.795
Ac  0.901  0.574  0.205
Pt  0.168  0.832  0.000
Pt  0.500  0.500  0.000
Pt  0.832  0.168  0.000
Br  0.332  0.668  0.500
Br  0.668  0.332  0.500

***

Entry 10:
For Ac6Ru2RhBr3, a cell relaxed with PBE gives the simulated powder XRD pattern in this record (Cu Kα (weighted mean of Kα1 and Kα2)).
No peak broadening, texture or thermal motion is included.

Largest 10 diffraction maxima, low angle first, 10 to 80 degrees two-theta:
10.67°, d 8.288, I 26; 24.89°, d 3.578, I 22; 27.86°, d 3.202, I 100; 34.85°, d 2.574, I 19; 37.65°, d 2.389, I 27; 41.88°, d 2.157, I 39; 46.98°, d 1.934, I 14; 51.06°, d 1.789, I 19; 53.90°, d 1.701, I 21; 68.10°, d 1.377, I 16

Structural model:
a b c (Å): 7.472 7.472 8.654
angles (deg): 98.27 98.27 120.00
Fractional positions:
Ac  0.097  0.435  0.805
Ac  0.227  0.227  0.195
Ac  0.435  0.097  0.805
Ac  0.565  0.903  0.195
Ac  0.773  0.773  0.805
Ac  0.903  0.565  0.195
Ru  0.166  0.834  0.000
Ru  0.834  0.166  0.000
Rh  0.500  0.500  0.000
Br  0.000  0.000  0.500
Br  0.331  0.669  0.500
Br  0.669  0.331  0.500

***

Entry 11:
For Ac8SiRh3Br4, a cell relaxed with PBE gives the simulated powder XRD pattern in this record (Cu Kα (weighted mean of Kα1 and Kα2)).
No peak broadening, texture or thermal motion is included.

Largest 10 diffraction maxima, low angle first, 10 to 80 degrees two-theta:
10.85°, d 8.155, I 19; 24.30°, d 3.663, I 27; 27.43°, d 3.252, I 100; 29.57°, d 3.021, I 14; 34.71°, d 2.585, I 17; 37.60°, d 2.392, I 27; 40.70°, d 2.217, I 40; 49.78°, d 1.832, I 19; 53.32°, d 1.718, I 14; 66.18°, d 1.412, I 16

Structural model:
a b c (Å): 9.629 9.629 9.629
angles (deg): 54.83 54.83 54.83
Fractional positions:
Ac  0.220  0.738  0.738
Ac  0.233  0.233  0.233
Ac  0.262  0.262  0.780
Ac  0.262  0.780  0.262
Ac  0.738  0.220  0.738
Ac  0.738  0.738  0.220
Ac  0.767  0.767  0.767
Ac  0.780  0.262  0.262
Si  0.500  0.500  0.500
Rh  0.000  0.000  0.500
Rh  0.000  0.500  0.000
Rh  0.500  0.000  0.000
Br  0.000  0.000  0.000
Br  0.000  0.500  0.500
Br  0.500  0.000  0.500
Br  0.500  0.500  0.000

***

Entry 12:
For AcYRhBr, a cell relaxed with PBE gives the simulated powder XRD pattern in this record (Cu Kα (weighted mean of Kα1 and Kα2)).
No peak broadening, texture or thermal motion is included.

Largest 10 diffraction maxima, low angle first, 10 to 80 degrees two-theta:
10.99°, d 8.050, I 41; 24.99°, d 3.564, I 24; 25.80°, d 3.453, I 16; 28.86°, d 3.094, I 29; 30.96°, d 2.888, I 100; 43.50°, d 2.080, I 42; 45.20°, d 2.006, I 30; 54.35°, d 1.688, I 20; 55.93°, d 1.644, I 12; 72.05°, d 1.311, I 18

Structural model:
a b c (Å): 8.401 8.401 8.401
angles (deg): 28.67 28.67 28.67
Fractional positions:
Ac  0.000  0.000  0.000
Y  0.795  0.795  0.795
Rh  0.402  0.402  0.402
Br  0.219  0.219  0.219